For EuBeP, a PBE-relaxed structure gives the simulated powder XRD pattern in this record (Cu Kα, 1.54184 Å).
Neutral-atom scattering factors, no anomalous dispersion.

Atomic structure:
```
data_EuBeP
_cell_length_a 3.7635
_cell_length_b 3.7635
_cell_length_c 4.3855
_cell_angle_alpha 90.00
_cell_angle_beta 90.00
_cell_angle_gamma 120.00
_symmetry_space_group_name_H-M 'P -6 m 2'
_symmetry_Int_Tables_number 187
_symmetry_space_group_name_Hall 'P -6 2'
loop_
_atom_site_label
_atom_site_type_symbol
_atom_site_fract_x
_atom_site_fract_y
_atom_site_fract_z
_atom_site_occupancy
Eu1 Eu 0.0000 0.0000 0.0000 1
Be1 Be 0.6667 0.3333 0.5000 1
P1 P 0.3333 0.6667 0.5000 1
```

Top 12 peaks for 15 to 90 degrees two-theta, in order of falling intensity:
d_spacing  2θ/deg  Rel. int.  index
2.616  34.3  100  1 0 1
3.259  27.4  55  1 0 0
4.386  20.2  26  0 0 1
1.882  48.4  22  1 1 0
1.819  50.1  21  1 0 2
1.528  60.6  19  2 0 1
1.428  65.3  18  1 1 2
1.186  81.1  17  2 1 1
1.729  53.0  13  1 1 1
1.334  70.6  12  1 0 3
2.193  41.2  12  0 0 2
1.630  56.5  7  2 0 0